(1)
Theoretical XRD peak list of NaPrZrSnO6 for λ = 1.5418 Å (Cu Kα), from a DFT-relaxed cell (GGA-PBE, the Materials Project).

Principal peaks in the range 5 to 70 degrees two-theta, in order of rising 2θ:
d_spacing, I_rel
4.747, 27
4.111, 7
2.907, 100
2.479, 16
2.056, 35
1.886, 7
1.678, 41
1.582, 5
1.454, 21
1.390, 5

Structure:
```
10
Lattice="0.000 4.111 4.111 4.111 0.000 4.111 4.111 4.111 0.000" Properties=species:S:1:pos:R:3 pbc="T T T"
Na 0.000 0.000 0.000
Pr 4.111 4.111 4.111
Zr 6.167 6.167 6.167
Sn 2.056 2.056 2.056
O 2.056 2.056 0.016
O 2.056 0.016 2.056
O 4.095 2.056 2.056
O 0.016 2.056 2.056
O 2.056 4.095 2.056
O 2.056 2.056 4.095
```

=====

(2)
Theoretical XRD peak list of Ba3In2Cl2O5 for λ = 1.5418 Å (Cu Kα), from a DFT-relaxed cell (GGA-PBE, the Materials Project).

Principal peaks in the range 5 to 70 degrees two-theta, in order of rising 2θ:
d_spacing, I_rel
12.752, 33
3.288, 53
3.041, 83
2.780, 100
2.151, 44
2.125, 15
1.800, 20
1.742, 20
1.701, 45
1.512, 17

Structure:
```
12
Lattice="-2.151 2.151 12.752 2.151 -2.151 12.752 2.151 2.151 -12.752" Properties=species:S:1:pos:R:3 pbc="T T T"
Ba 0.000 0.000 0.000
Ba 0.000 0.000 4.112
Ba 0.000 0.000 21.392
In 0.000 0.000 10.650
In 0.000 0.000 14.854
Cl 0.000 0.000 7.519
Cl 0.000 0.000 17.985
O 2.151 0.000 2.399
O 2.151 0.000 10.353
O 0.000 0.000 12.752
O 0.000 2.151 2.399
O 0.000 2.151 10.353
```

=====

(3)
Theoretical XRD peak list of CoSbS for λ = 1.5418 Å (Cu Kα), from a DFT-relaxed cell (GGA-PBE, the Materials Project).

Principal peaks in the range 5 to 70 degrees two-theta, in order of rising 2θ:
d_spacing, I_rel
5.845, 30
2.922, 33
2.894, 45
2.849, 47
2.660, 30
2.614, 48
2.560, 100
2.421, 29
2.040, 40
1.765, 32

Structure:
```
24
Lattice="5.840 0.000 0.000 0.000 5.974 0.000 0.000 0.000 11.690" Properties=species:S:1:pos:R:3 pbc="T T T"
Co 0.086 0.995 1.345
Co 0.086 1.993 7.190
Co 2.834 3.982 1.345
Co 2.834 4.980 7.190
Co 3.006 0.995 4.499
Co 3.006 1.993 10.344
Co 5.754 3.982 4.499
Co 5.754 4.980 10.344
Sb 0.695 0.297 3.738
Sb 0.695 2.690 9.583
Sb 2.225 3.285 3.738
Sb 2.225 5.677 9.583
Sb 3.615 0.297 2.107
Sb 3.615 2.690 7.952
Sb 5.145 3.285 2.107
Sb 5.145 5.677 7.952
S 0.786 4.096 6.603
S 0.786 4.866 0.758
S 2.134 1.108 6.603
S 2.134 1.879 0.758
S 3.706 4.096 10.932
S 3.706 4.866 5.087
S 5.054 1.108 10.932
S 5.054 1.879 5.087
```

=====

(4)
Theoretical XRD peak list of DyPt for λ = 1.5418 Å (Cu Kα), from a DFT-relaxed cell (GGA-PBE, the Materials Project).

Principal peaks in the range 5 to 70 degrees two-theta, in order of rising 2θ:
d_spacing, I_rel
2.786, 83
2.590, 47
2.492, 100
2.278, 54
2.252, 96
2.163, 22
1.711, 27
1.678, 24
1.394, 18
1.352, 38

Structure:
```
8
Lattice="7.040 0.000 0.000 0.000 4.556 0.000 0.000 0.000 5.572" Properties=species:S:1:pos:R:3 pbc="T T T"
Dy 1.275 1.139 0.769
Dy 2.245 3.417 3.554
Dy 4.796 1.139 2.017
Dy 5.765 3.417 4.803
Pt 0.318 1.139 3.635
Pt 3.202 3.417 0.849
Pt 3.838 1.139 4.722
Pt 6.722 3.417 1.937
```

=====

(5)
Theoretical XRD peak list of KHgSb for λ = 1.5418 Å (Cu Kα), from a DFT-relaxed cell (GGA-PBE, the Materials Project).

Principal peaks in the range 5 to 70 degrees two-theta, in order of rising 2θ:
d_spacing, I_rel
5.247, 94
4.243, 31
3.934, 17
3.299, 100
2.624, 29
2.450, 72
2.220, 66
1.967, 23
1.790, 55
1.534, 20

Structure:
```
6
Lattice="4.899 0.000 0.000 -2.450 4.243 0.000 0.000 0.000 10.494" Properties=species:S:1:pos:R:3 pbc="T T T"
K 0.000 0.000 0.000
K 0.000 0.000 5.247
Hg 0.000 2.829 2.624
Hg 2.450 1.414 7.871
Sb 0.000 2.829 7.871
Sb 2.450 1.414 2.624
```

=====

(6)
Theoretical XRD peak list of K2S3 for λ = 1.5418 Å (Cu Kα), from a DFT-relaxed cell (GGA-PBE, the Materials Project).

Principal peaks in the range 5 to 70 degrees two-theta, in order of rising 2θ:
d_spacing, I_rel
3.794, 20
3.201, 90
2.864, 64
2.776, 100
2.639, 37
2.423, 33
2.267, 28
1.836, 24
1.685, 25
1.615, 27

Structure:
```
10
Lattice="3.672 -5.114 0.000 3.672 5.114 0.000 0.000 0.000 7.588" Properties=species:S:1:pos:R:3 pbc="T T T"
K 3.672 4.270 3.794
K 3.672 1.081 2.049
K 3.672 -1.081 5.843
K 3.672 -4.270 0.000
S 1.984 1.608 4.982
S 3.672 2.044 6.154
S 1.984 -1.608 1.189
S 5.360 1.608 4.982
S 3.672 -2.044 2.360
S 5.360 -1.608 1.189
```